Calculated PXRD pattern
Compound: InB2Ru
Radiation: Cu Kα (weighted mean of Kα1 and Kα2)
Structure: a structure optimized by DFT (GGA-PBE)
Peak positions follow from Bragg's law for the DFT cell and can differ from measured ones.

Peak list (10 most intense, 2θ from 10° to 90°, low angle first)
2θ (°)  I (rel.)
30.59  100
35.47  44
51.04  38
60.69  40
63.69  11
74.96  2
75.13  4
83.20  16
85.77  5
85.92  10

Structural model:
Cell: 6.2029 6.2029 6.2029 Å, 131.88 131.88 70.42°
Atoms (fractional coordinates):
In 0.0000 0.0000 0.0000
In 0.7500 0.2500 0.5000
B 0.2017 0.6250 0.0767
B 0.3750 0.4517 0.5767
B 0.5483 0.1250 0.9233
B 0.8750 0.7983 0.4233
Ru 0.2500 0.7500 0.5000
Ru 0.5000 0.5000 0.0000

Calculated PXRD pattern
Compound: InBS
Radiation: Cu Kα (weighted mean of Kα1 and Kα2)
Structure: a structure optimized by DFT (GGA-PBE)
Peak positions follow from Bragg's law for the DFT cell and can differ from measured ones.

Peak list (10 most intense, 2θ from 10° to 90°, low angle first)
2θ (°)  I (rel.)
16.25  47
24.92  25
29.89  100
30.80  25
32.85  44
34.03  32
35.01  45
37.93  20
48.02  23
62.08  20

Structural model:
Cell: 3.0192 5.4532 7.2141 Å, 90.00 97.82 90.00°
Atoms (fractional coordinates):
In 0.0000 0.0000 0.0000
In 0.5000 0.0000 0.5000
B 0.0368 0.5000 0.1144
B 0.9632 0.5000 0.8856
S 0.4130 0.5000 0.7332
S 0.5870 0.5000 0.2668

Calculated PXRD pattern
Compound: B5Ir
Radiation: Cu Kα (weighted mean of Kα1 and Kα2)
Structure: a structure optimized by DFT (GGA-PBE)
Peak positions follow from Bragg's law for the DFT cell and can differ from measured ones.

Peak list (10 most intense, 2θ from 10° to 90°, low angle first)
2θ (°)  I (rel.)
14.79  100
28.51  38
29.84  23
31.52  17
34.98  31
35.66  31
43.01  33
47.17  11
48.32  27
57.84  17

Structural model:
Cell: 6.2037 6.2037 2.8385 Å, 90.00 90.00 149.69°
Atoms (fractional coordinates):
B 0.0000 0.0000 0.0000
B 0.1353 0.8647 0.5000
B 0.2242 0.7758 0.0000
B 0.7758 0.2242 0.0000
B 0.8647 0.1353 0.5000
Ir 0.5000 0.5000 0.5000

Calculated PXRD pattern
Compound: B3Ir5
Radiation: Cu Kα (weighted mean of Kα1 and Kα2)
Structure: a structure optimized by DFT (GGA-PBE)
Peak positions follow from Bragg's law for the DFT cell and can differ from measured ones.

Peak list (10 most intense, 2θ from 10° to 90°, low angle first)
2θ (°)  I (rel.)
30.80  47
33.62  41
35.52  100
40.28  98
42.55  44
44.12  30
45.82  39
48.28  45
51.39  38
75.98  41

Structural model:
Cell: 6.0942 8.8933 3.5558 Å, 90.00 90.00 90.00°
Atoms (fractional coordinates):
B 0.0000 0.0000 0.0000
B 0.0026 0.3187 0.5000
B 0.4974 0.8187 0.5000
B 0.5000 0.5000 0.0000
B 0.5026 0.1813 0.5000
B 0.9974 0.6813 0.5000
Ir 0.0000 0.5000 0.0000
Ir 0.1461 0.7935 0.0000
Ir 0.1655 0.1008 0.5000
Ir 0.3345 0.6008 0.5000
Ir 0.3539 0.2935 0.0000
Ir 0.5000 0.0000 0.0000
Ir 0.6461 0.7065 0.0000
Ir 0.6655 0.3992 0.5000
Ir 0.8345 0.8992 0.5000
Ir 0.8539 0.2065 0.0000